Computed powder diffractogram of K2MnP2O7 for Cu Kα, 1.54184 Å, from a DFT-relaxed cell (PBE+U, the Materials Project).
Lines closer than 0.1° are merged.

Largest 10 diffraction maxima, sorted by position, 10 to 90 degrees two-theta:
2θ = 20.63°, d 4.306, I = 27.9, hkl 2 0 0
2θ = 26.48°, d 3.366, I = 25.9, hkl 1 1 2
2θ = 28.64°, d 3.117, I = 15.7, hkl 0 0 4
2θ = 30.17°, d 2.962, I = 91.1, hkl 2 0 2
2θ = 31.95°, d 2.801, I = 100.0, hkl 0 2 0
2θ = 41.96°, d 2.153, I = 38.8, hkl 4 0 0
2θ = 44.52°, d 2.035, I = 15.6, hkl 4 0 -6
2θ = 55.03°, d 1.669, I = 14.3, hkl 3 1 -8
2θ = 55.85°, d 1.646, I = 22.0, hkl 5 1 0
2θ = 66.81°, d 1.400, I = 17.4, hkl 6 2 -4

Atomic structure:
abc: 9.698 5.604 14.050
angles: 90.00 117.47 90.00
Positions (direct):
K: 0.009 0.233 0.139
K: 0.009 0.267 0.639
K: 0.465 0.227 0.323
K: 0.465 0.273 0.823
K: 0.535 0.727 0.177
K: 0.535 0.773 0.677
K: 0.991 0.733 0.361
K: 0.991 0.767 0.861
Mn: 0.267 0.242 0.518
Mn: 0.267 0.258 0.018
Mn: 0.733 0.742 0.982
Mn: 0.733 0.758 0.482
P: 0.169 0.741 0.138
P: 0.169 0.759 0.638
P: 0.327 0.725 0.379
P: 0.327 0.775 0.879
P: 0.673 0.225 0.121
P: 0.673 0.275 0.621
P: 0.831 0.241 0.362
P: 0.831 0.259 0.862
O: 0.008 0.229 0.430
O: 0.008 0.271 0.930
O: 0.188 0.700 0.759
O: 0.188 0.800 0.259
O: 0.244 0.545 0.612
O: 0.244 0.955 0.112
O: 0.251 0.503 0.144
O: 0.251 0.997 0.644
O: 0.281 0.027 0.897
O: 0.281 0.473 0.397
O: 0.309 0.586 0.951
O: 0.309 0.914 0.451
O: 0.480 0.732 0.372
O: 0.480 0.768 0.872
O: 0.520 0.232 0.128
O: 0.520 0.268 0.628
O: 0.691 0.086 0.549
O: 0.691 0.414 0.049
O: 0.719 0.527 0.603
O: 0.719 0.973 0.103
O: 0.749 0.003 0.356
O: 0.749 0.497 0.856
O: 0.756 0.045 0.888
O: 0.756 0.455 0.388
O: 0.812 0.200 0.741
O: 0.812 0.300 0.241
O: 0.992 0.729 0.070
O: 0.992 0.771 0.570